For HoB2Rh2C, the GGA-PBE geometry in the Materials Project gives the computed X-ray diffraction stick pattern in this record (a wavelength of 1.5418 Å).

The 6 most intense peaks (2θ from 10° to 90°), by angle:
24.95 deg, rel. 39, hkl 1 0 1
34.91 deg, rel. 29, hkl 0 0 4
35.24 deg, rel. 23, hkl 1 0 3
37.73 deg, rel. 100, hkl 1 1 2
47.79 deg, rel. 28, hkl 2 0 0
60.54 deg, rel. 24, hkl 2 0 4

Cell and atoms:
abc: 3.8062 3.8062 10.2795
angles: 90.00 90.00 90.00
Space group I4/mmm (No. 139)
Asymmetric unit:
Ho (0.0000, 0.0000, 0.0000) (multiplicity 2)
B (0.0000, 0.0000, 0.3548) (multiplicity 4)
Rh (0.0000, 0.5000, 0.2500) (multiplicity 4)
C (0.0000, 0.0000, 0.5000) (multiplicity 2)

=====

For Sc6NiTe2, the GGA-PBE geometry in the Materials Project gives the computed X-ray diffraction stick pattern in this record (a wavelength of 1.5418 Å).

The 6 most intense peaks (2θ from 10° to 90°), by angle:
22.85 deg, rel. 79, hkl 1 1 0
33.23 deg, rel. 100, hkl 1 1 1
35.22 deg, rel. 40, hkl 2 1 0
35.87 deg, rel. 95, hkl 2 0 1
40.13 deg, rel. 70, hkl 3 0 0
42.96 deg, rel. 72, hkl 2 1 1

Cell and atoms:
abc: 7.7839 7.7839 3.7382
angles: 90.00 90.00 120.00
Space group P-62m (No. 189)
Asymmetric unit:
Sc (0.0000, 0.2383, 0.0000) (multiplicity 3)
Sc (0.0000, 0.6077, 0.5000) (multiplicity 3)
Ni (0.0000, 0.0000, 0.5000) (multiplicity 1)
Te (0.3333, 0.6667, 0.0000) (multiplicity 2)

=====

For Na3ScTiSiP2O12, the GGA-PBE geometry in the Materials Project gives the computed X-ray diffraction stick pattern in this record (a wavelength of 1.5418 Å).

The 6 most intense peaks (2θ from 10° to 90°), by angle:
19.77 deg, rel. 67, hkl 3 1 -1
23.23 deg, rel. 100, hkl 1 1 -2
31.51 deg, rel. 41, hkl 4 2 -2
31.55 deg, rel. 73, hkl 5 1 -1
34.53 deg, rel. 44, hkl 1 3 1
47.54 deg, rel. 32, hkl 2 2 -4

Cell and atoms:
abc: 15.5274 9.0089 8.9547
angles: 90.00 125.22 90.00
Space group Cc (No. 9)
Asymmetric unit:
Na (0.0000, 0.0665, 0.0000) (multiplicity 4)
Na (0.1872, 0.3970, 0.8321) (multiplicity 4)
Na (0.4365, 0.2276, 0.0781) (multiplicity 4)
Sc (0.0842, 0.2561, 0.4382) (multiplicity 4)
Ti (0.2926, 0.2412, 0.2299) (multiplicity 4)
Si (0.0418, 0.3911, 0.0344) (multiplicity 4)
P (0.1941, 0.0410, 0.8479) (multiplicity 4)
P (0.3363, 0.4024, 0.6316) (multiplicity 4)
O (0.0368, 0.4293, 0.5251) (multiplicity 4)
O (0.0452, 0.3412, 0.2101) (multiplicity 4)
O (0.1191, 0.1406, 0.6818) (multiplicity 4)
O (0.1276, 0.0480, 0.3901) (multiplicity 4)
O (0.1544, 0.3229, 0.0729) (multiplicity 4)
O (0.2366, 0.3456, 0.6085) (multiplicity 4)
O (0.2571, 0.0673, 0.3046) (multiplicity 4)
O (0.2756, 0.1426, 0.0091) (multiplicity 4)
O (0.3367, 0.3594, 0.4612) (multiplicity 4)
O (0.3398, 0.4233, 0.1370) (multiplicity 4)
O (0.4331, 0.3483, 0.8167) (multiplicity 4)
O (0.4432, 0.1936, 0.3510) (multiplicity 4)